1.
Pm3Dy8Sc3: computed powder X-ray diffraction pattern (copper Kα), based on a cell relaxed with PBE.
Lines closer than 0.1° are merged.

Atomic structure:
Cell lengths 10.211, 10.211, 10.211 Å; angles 149.33, 124.03, 65.18 degrees
Fractional positions:
Pm (0.000, 0.000, 0.000)
Pm (0.258, 0.500, 0.758)
Pm (0.742, 0.500, 0.242)
Dy (0.113, 0.875, 0.238)
Dy (0.144, 0.300, 0.844)
Dy (0.362, 0.125, 0.238)
Dy (0.456, 0.300, 0.156)
Dy (0.544, 0.700, 0.844)
Dy (0.638, 0.875, 0.762)
Dy (0.856, 0.700, 0.156)
Dy (0.887, 0.125, 0.762)
Sc (0.171, 0.671, 0.500)
Sc (0.500, 0.000, 0.500)
Sc (0.829, 0.329, 0.500)

The 6 most intense peaks (15° ≤ 2θ ≤ 90°), in order of rising 2θ:
- 2θ = 18.52°, 4.792 Å, I 82
- 2θ = 18.86°, 4.705 Å, I 37
- 2θ = 29.39°, 3.039 Å, I 93
- 2θ = 30.81°, 2.902 Å, I 96
- 2θ = 33.18°, 2.700 Å, I 86
- 2θ = 36.19°, 2.482 Å, I 100



2.
PmDy4Sc7: computed powder X-ray diffraction pattern (copper Kα), based on a cell relaxed with PBE.
Lines closer than 0.1° are merged.

Atomic structure:
Cell lengths 6.346, 6.346, 12.129 Å; angles 114.38, 114.38, 52.04 degrees
Fractional positions:
Pm (0.000, 0.000, 0.000)
Dy (0.142, 0.142, 0.775)
Dy (0.415, 0.415, 0.694)
Dy (0.585, 0.585, 0.306)
Dy (0.858, 0.858, 0.225)
Sc (0.126, 0.126, 0.487)
Sc (0.291, 0.291, 0.081)
Sc (0.324, 0.324, 0.367)
Sc (0.500, 0.500, 0.000)
Sc (0.676, 0.676, 0.633)
Sc (0.709, 0.709, 0.919)
Sc (0.874, 0.874, 0.513)

The 6 most intense peaks (15° ≤ 2θ ≤ 90°), in order of rising 2θ:
- 2θ = 21.59°, 4.116 Å, I 93
- 2θ = 28.74°, 3.106 Å, I 72
- 2θ = 31.20°, 2.866 Å, I 64
- 2θ = 32.15°, 2.784 Å, I 100
- 2θ = 32.38°, 2.765 Å, I 57
- 2θ = 34.12°, 2.628 Å, I 85



3.
Pm7Dy12Sc: computed powder X-ray diffraction pattern (copper Kα), based on a cell relaxed with PBE.
Lines closer than 0.1° are merged.

Atomic structure:
Cell lengths 8.708, 8.708, 8.708 Å; angles 92.54, 92.54, 92.54 degrees
Fractional positions:
Pm (0.000, 0.000, 0.000)
Pm (0.130, 0.450, 0.377)
Pm (0.377, 0.130, 0.450)
Pm (0.450, 0.377, 0.130)
Pm (0.550, 0.623, 0.870)
Pm (0.623, 0.870, 0.550)
Pm (0.870, 0.550, 0.623)
Dy (0.041, 0.942, 0.337)
Dy (0.058, 0.663, 0.959)
Dy (0.214, 0.363, 0.760)
Dy (0.240, 0.786, 0.637)
Dy (0.337, 0.041, 0.942)
Dy (0.363, 0.760, 0.214)
Dy (0.637, 0.240, 0.786)
Dy (0.663, 0.959, 0.058)
Dy (0.760, 0.214, 0.363)
Dy (0.786, 0.637, 0.240)
Dy (0.942, 0.337, 0.041)
Dy (0.959, 0.058, 0.663)
Sc (0.500, 0.500, 0.500)

The 6 most intense peaks (15° ≤ 2θ ≤ 90°), in order of rising 2θ:
- 2θ = 23.31°, 3.816 Å, I 24
- 2θ = 29.74°, 3.004 Å, I 23
- 2θ = 30.21°, 2.959 Å, I 100
- 2θ = 30.87°, 2.897 Å, I 30
- 2θ = 32.12°, 2.787 Å, I 99
- 2θ = 33.05°, 2.711 Å, I 35



4.
Pm4Dy3Sc4: computed powder X-ray diffraction pattern (copper Kα), based on a cell relaxed with PBE.
Lines closer than 0.1° are merged.

Atomic structure:
Cell lengths 17.609, 17.609, 17.609 Å; angles 168.82, 162.03, 21.21 degrees
Fractional positions:
Pm (0.091, 0.091, 0.000)
Pm (0.269, 0.769, 0.500)
Pm (0.731, 0.231, 0.500)
Pm (0.909, 0.909, 0.000)
Dy (0.000, 0.500, 0.500)
Dy (0.364, 0.364, 0.000)
Dy (0.636, 0.636, 0.000)
Sc (0.181, 0.181, 0.000)
Sc (0.456, 0.956, 0.500)
Sc (0.544, 0.044, 0.500)
Sc (0.819, 0.819, 0.000)

The 6 most intense peaks (15° ≤ 2θ ≤ 90°), in order of rising 2θ:
- 2θ = 17.86°, 4.965 Å, I 18
- 2θ = 31.75°, 2.818 Å, I 33
- 2θ = 32.49°, 2.756 Å, I 100
- 2θ = 32.79°, 2.732 Å, I 55
- 2θ = 46.12°, 1.968 Å, I 24
- 2θ = 58.74°, 1.572 Å, I 19